For Pm7MgSn2, a DFT-relaxed cell (GGA-PBE, Alexandria) gives the simulated powder XRD pattern in this record (Cu Kα (weighted mean of Kα1 and Kα2)).
Neutral-atom scattering factors, no anomalous dispersion.

Structural model:
a b c (Å): 5.3856 5.3856 13.1477
angles (deg): 90.00 90.00 120.00
Sites, in units of the cell vectors:
Pm  0.0000  0.0000  0.0000
Pm  0.0000  0.0000  0.2574
Pm  0.0000  0.0000  0.5236
Pm  0.3333  0.6667  0.1431
Pm  0.3333  0.6667  0.6743
Pm  0.6667  0.3333  0.3850
Pm  0.6667  0.3333  0.8455
Mg  0.3333  0.6667  0.4060
Sn  0.0000  0.0000  0.7627
Sn  0.6667  0.3333  0.1021

Top 10 peaks for 10 to 90 degrees two-theta, most intense first:
- hkl 1 1 0, d = 2.690 Å, 2θ 33.3, rel. 100
- hkl 3 0 0, d = 1.554 Å, 2θ 59.5, rel. 28
- hkl 0 1 2, d = 3.804 Å, 2θ 23.4, rel. 21
- hkl 0 2 4, d = 1.902 Å, 2θ 47.8, rel. 18
- hkl 1 3 4, d = 1.204 Å, 2θ 79.7, rel. 8
- hkl 0 1 3, d = 3.194 Å, 2θ 27.9, rel. 8
- hkl 2 2 0, d = 1.346 Å, 2θ 69.9, rel. 6
- hkl 1 1 7, d = 1.541 Å, 2θ 60.1, rel. 5
- hkl 1 0 0, d = 4.664 Å, 2θ 19.0, rel. 5
- hkl 2 0 2, d = 2.198 Å, 2θ 41.1, rel. 5